Computed X-ray powder pattern of Cs4CuBr5 for copper Kα, from a GGA-PBE-relaxed structure.

Cell: 10.9424 10.9424 7.3035 Å, 90.00 90.00 90.00°
Space group I4 (No. 79)
One atom of each set of equivalent atoms:
Cs: 0.0921 0.2985 0.0000
Cu: 0.0000 0.0000 0.4242
Br: 0.0000 0.0000 0.0949
Br: 0.0822 0.2479 0.5054

Most intense lines, 10° ≤ 2θ ≤ 90°, most intense first:
| index | 2θ (°) | d (Å) | I/Imax |
| --- | --- | --- | --- |
| 1 3 0 | 25.75 | 3.460 | 100 |
| 1 3 2 | 35.75 | 2.512 | 74 |
| 0 0 2 | 24.37 | 3.652 | 55 |
| 4 2 0 | 36.73 | 2.447 | 30 |
| 4 2 2 | 44.58 | 2.033 | 27 |
| 2 1 1 | 21.86 | 4.065 | 26 |
| 5 0 1 | 43.15 | 2.096 | 17 |
| 1 3 4 | 57.03 | 1.615 | 16 |

***

Computed X-ray powder pattern of Cs2Cu3Br8 for copper Kα, from a GGA-PBE-relaxed structure.

Cell: 5.0652 5.0652 15.6668 Å, 90.00 90.00 90.00°
Space group P4/mmm (No. 123)
One atom of each set of equivalent atoms:
Cs: 0.0000 0.0000 0.1833
Cu: 0.5000 0.5000 0.0000
Cu: 0.5000 0.5000 0.3377
Br: 0.0000 0.5000 0.0000
Br: 0.0000 0.5000 0.3615
Br: 0.5000 0.5000 0.1710

Most intense lines, 10° ≤ 2θ ≤ 90°, most intense first:
| index | 2θ (°) | d (Å) | I/Imax |
| --- | --- | --- | --- |
| 1 1 3 | 30.26 | 2.954 | 100 |
| 2 0 0 | 35.44 | 2.533 | 97 |
| 2 0 6 | 50.18 | 1.818 | 45 |
| 1 1 2 | 27.38 | 3.257 | 41 |
| 0 0 6 | 34.34 | 2.611 | 34 |
| 1 0 3 | 24.48 | 3.636 | 34 |
| 2 2 0 | 51.00 | 1.791 | 33 |
| 2 0 5 | 46.08 | 1.970 | 28 |

***

Computed X-ray powder pattern of CsCu2Br7 for copper Kα, from a GGA-PBE-relaxed structure.

Cell: 7.8113 20.1527 4.2738 Å, 90.00 90.00 90.00°
Space group Cmmm (No. 65)
One atom of each set of equivalent atoms:
Cs: 0.0000 0.0000 0.0000
Cu: 0.0000 0.3771 0.5000
Br: 0.0000 0.3219 0.0000
Br: 0.0000 0.5000 0.5000
Br: 0.1680 0.1371 0.5000

Most intense lines, 10° ≤ 2θ ≤ 90°, most intense first:
| index | 2θ (°) | d (Å) | I/Imax |
| --- | --- | --- | --- |
| 1 3 1 | 27.24 | 3.274 | 100 |
| 0 4 1 | 27.37 | 3.259 | 61 |
| 3 3 0 | 37.03 | 2.428 | 43 |
| 3 1 1 | 40.83 | 2.210 | 39 |
| 3 7 1 | 51.97 | 1.760 | 39 |
| 0 6 0 | 26.54 | 3.359 | 38 |
| 0 4 0 | 17.60 | 5.038 | 33 |
| 0 0 2 | 42.29 | 2.137 | 31 |

***

Computed X-ray powder pattern of Cs3Cu2Br5 for copper Kα, from a GGA-PBE-relaxed structure.

Cell: 9.8625 11.1626 13.8966 Å, 90.00 90.00 90.00°
Space group Pnma (No. 62)
One atom of each set of equivalent atoms:
Cs: 0.0461 0.0136 0.1769
Cs: 0.0969 0.7500 0.4548
Cu: 0.2072 0.7500 0.0475
Cu: 0.2485 0.2500 0.3699
Br: 0.0319 0.2500 0.9874
Br: 0.1713 0.7500 0.7095
Br: 0.1913 0.0636 0.4460
Br: 0.2033 0.2500 0.7071

Most intense lines, 10° ≤ 2θ ≤ 90°, most intense first:
| index | 2θ (°) | d (Å) | I/Imax |
| --- | --- | --- | --- |
| 2 2 2 | 27.33 | 3.263 | 100 |
| 1 2 3 | 26.59 | 3.352 | 87 |
| 0 4 0 | 32.09 | 2.789 | 87 |
| 3 1 1 | 29.03 | 3.075 | 61 |
| 1 0 4 | 27.21 | 3.277 | 48 |
| 2 2 1 | 24.93 | 3.571 | 46 |
| 2 0 3 | 26.40 | 3.376 | 37 |
| 3 5 1 | 49.79 | 1.831 | 37 |

***

Computed X-ray powder pattern of CsCuBr2 for copper Kα, from a GGA-PBE-relaxed structure.

Cell: 5.3576 8.2138 8.2143 Å, 89.96 89.99 89.98°
Space group P1 (No. 1)
One atom of each set of equivalent atoms:
Cs: 0.0000 0.0000 0.0000
Cs: 0.5000 0.4995 0.5005
Cu: 0.2547 0.9995 0.5000
Cu: 0.7546 0.9995 0.5001
Br: 0.0006 0.2275 0.3735
Br: 0.0006 0.7715 0.6270
Br: 0.5005 0.1259 0.7279
Br: 0.5007 0.8727 0.2722

Most intense lines, 10° ≤ 2θ ≤ 90°, most intense first:
| index | 2θ (°) | d (Å) | I/Imax |
| --- | --- | --- | --- |
| 0 1 0 | 10.77 | 8.214 | 100 |
| 1 1 2 | 29.48 | 3.030 | 87 |
| 2 3 1 | 48.83 | 1.865 | 34 |
| 2 1 -1 | 36.92 | 2.435 | 31 |
| 1 1 -1 | 22.58 | 3.938 | 27 |
| 1 4 3 | 58.80 | 1.570 | 23 |
| 1 0 1 | 19.78 | 4.487 | 18 |
| 0 2 2 | 30.79 | 2.904 | 18 |

***

Computed X-ray powder pattern of CsCu2BrF2 for copper Kα, from a GGA-PBE-relaxed structure.

Cell: 6.4943 5.0142 8.5083 Å, 90.00 110.23 90.00°
Space group P2_1/m (No. 11)
One atom of each set of equivalent atoms:
Cs: 0.1810 0.2500 0.3885
Cu: 0.3949 0.0006 0.8517
Br: 0.2507 0.7500 0.0613
F: 0.1276 0.2500 0.7186
F: 0.3573 0.7500 0.6438

Most intense lines, 10° ≤ 2θ ≤ 90°, most intense first:
| index | 2θ (°) | d (Å) | I/Imax |
| --- | --- | --- | --- |
| 1 1 -1 | 23.23 | 3.830 | 100 |
| 0 1 2 | 28.58 | 3.123 | 80 |
| 1 0 -3 | 31.70 | 2.823 | 61 |
| 1 1 1 | 27.73 | 3.217 | 48 |
| 3 0 1 | 50.00 | 1.824 | 46 |
| 2 2 -2 | 47.48 | 1.915 | 44 |
| 1 0 -1 | 14.93 | 5.934 | 40 |
| 2 0 -1 | 27.49 | 3.245 | 36 |

***

Computed X-ray powder pattern of Cs2CuBr3F for copper Kα, from a GGA-PBE-relaxed structure.

Cell: 4.8941 5.9789 16.2828 Å, 90.00 90.00 90.00°
Space group Immm (No. 71)
One atom of each set of equivalent atoms:
Cs: 0.0000 0.0000 0.1216
Cu: 0.0000 0.0000 0.5000
Br: 0.0000 0.0000 0.3527
Br: 0.0000 0.5000 0.0000
F: 0.0000 0.5000 0.5000

Most intense lines, 10° ≤ 2θ ≤ 90°, most intense first:
| index | 2θ (°) | d (Å) | I/Imax |
| --- | --- | --- | --- |
| 1 1 4 | 32.29 | 2.773 | 100 |
| 1 1 0 | 23.49 | 3.787 | 93 |
| 0 2 0 | 29.89 | 2.989 | 59 |
| 0 2 8 | 54.57 | 1.682 | 36 |
| 0 0 2 | 10.87 | 8.141 | 34 |
| 2 0 0 | 36.73 | 2.447 | 33 |
| 2 2 0 | 48.05 | 1.894 | 30 |
| 0 1 5 | 31.28 | 2.860 | 30 |

***

Computed X-ray powder pattern of CsHfCu2Br8 for copper Kα, from a GGA-PBE-relaxed structure.

Cell: 6.6360 6.6360 32.8525 Å, 90.00 90.00 120.00°
Space group R32 (No. 155, hexagonal axes)
One atom of each set of equivalent atoms:
Cs: 0.0000 0.0000 0.0000
Hf: 0.0000 0.0000 0.5000
Cu: 0.0000 0.0000 0.2417
Br: 0.0000 0.0000 0.3128
Br: 0.0116 0.3121 0.5518

Most intense lines, 10° ≤ 2θ ≤ 90°, most intense first:
| index | 2θ (°) | d (Å) | I/Imax |
| --- | --- | --- | --- |
| 1 0 4 | 18.85 | 4.709 | 100 |
| 1 1 0 | 26.87 | 3.318 | 69 |
| 1 1 12 | 42.82 | 2.112 | 55 |
| 3 0 0 | 47.46 | 1.916 | 51 |
| 1 1 6 | 31.53 | 2.838 | 49 |
| 1 1 3 | 28.10 | 3.175 | 41 |
| 1 1 9 | 36.60 | 2.455 | 38 |
| 0 0 9 | 24.38 | 3.650 | 31 |

***

Computed X-ray powder pattern of Cs3LiCu2Br8 for copper Kα, from a GGA-PBE-relaxed structure.

Cell: 7.5807 7.5807 10.1243 Å, 90.00 90.00 120.00°
Space group P-3m1 (No. 164)
One atom of each set of equivalent atoms:
Cs: 0.0000 0.0000 0.0000
Cs: 0.3333 0.6667 0.6388
Li: 0.0000 0.0000 0.5000
Cu: 0.3333 0.6667 0.2290
Br: 0.1634 0.3268 0.3255
Br: 0.3333 0.6667 0.9969

Most intense lines, 10° ≤ 2θ ≤ 90°, most intense first:
| index | 2θ (°) | d (Å) | I/Imax |
| --- | --- | --- | --- |
| 2 0 2 | 32.51 | 2.754 | 100 |
| 0 2 1 | 28.59 | 3.123 | 78 |
| 1 1 0 | 23.47 | 3.790 | 76 |
| 0 0 3 | 26.41 | 3.375 | 60 |
| 2 2 0 | 48.01 | 1.895 | 53 |
| 2 2 3 | 55.62 | 1.652 | 43 |
| 0 2 4 | 45.24 | 2.004 | 31 |
| 2 0 0 | 27.17 | 3.283 | 29 |

***

Computed X-ray powder pattern of Cs3Mn2CuBr9 for copper Kα, from a GGA-PBE-relaxed structure.

Cell: 7.5780 7.5780 9.2836 Å, 90.00 90.00 120.00°
Space group P-3m1 (No. 164)
One atom of each set of equivalent atoms:
Cs: 0.0000 0.0000 0.0000
Cs: 0.3333 0.6667 0.6652
Mn: 0.3333 0.6667 0.1754
Cu: 0.0000 0.0000 0.5000
Br: 0.0000 0.5000 0.0000
Br: 0.1672 0.3344 0.3323

Most intense lines, 10° ≤ 2θ ≤ 90°, most intense first:
| index | 2θ (°) | d (Å) | I/Imax |
| --- | --- | --- | --- |
| 0 0 3 | 28.86 | 3.094 | 100 |
| 2 0 2 | 33.44 | 2.679 | 97 |
| 2 2 0 | 48.02 | 1.895 | 68 |
| 2 0 5 | 56.99 | 1.616 | 43 |
| 4 2 2 | 80.08 | 1.198 | 30 |
| 1 1 0 | 23.48 | 3.789 | 30 |
| 6 0 0 | 89.62 | 1.094 | 23 |
| 0 4 2 | 59.78 | 1.547 | 23 |

***

Computed X-ray powder pattern of CsNaCuBr3 for copper Kα, from a GGA-PBE-relaxed structure.

Cell: 14.9547 6.2868 9.7404 Å, 90.00 105.50 90.00°
Space group C2/m (No. 12)
One atom of each set of equivalent atoms:
Cs: 0.1482 0.0000 0.0235
Na: 0.1259 0.0000 0.5993
Cu: 0.0356 0.5000 0.2548
Br: 0.0404 0.0000 0.3057
Br: 0.1175 0.5000 0.7401
Br: 0.1825 0.5000 0.2192

Most intense lines, 10° ≤ 2θ ≤ 90°, most intense first:
| index | 2θ (°) | d (Å) | I/Imax |
| --- | --- | --- | --- |
| 0 2 0 | 28.39 | 3.143 | 100 |
| 3 1 -2 | 26.81 | 3.325 | 80 |
| 1 1 -2 | 23.13 | 3.846 | 48 |
| 3 1 1 | 27.02 | 3.300 | 45 |
| 1 1 2 | 25.73 | 3.462 | 37 |
| 0 0 2 | 18.91 | 4.693 | 36 |
| 6 2 -1 | 46.49 | 1.953 | 35 |
| 6 0 -1 | 36.04 | 2.492 | 34 |

***

Computed X-ray powder pattern of CsCuOsBr6 for copper Kα, from a GGA-PBE-relaxed structure.

Cell: 6.7558 6.7558 8.2415 Å, 90.00 90.00 120.00°
Space group P312 (No. 149)
One atom of each set of equivalent atoms:
Cs: 0.0000 0.0000 0.0000
Cu: 0.6667 0.3333 0.5000
Os: 0.3333 0.6667 0.5000
Br: 0.0158 0.3722 0.3280

Most intense lines, 10° ≤ 2θ ≤ 90°, most intense first:
| index | 2θ (°) | d (Å) | I/Imax |
| --- | --- | --- | --- |
| 1 0 1 | 18.60 | 4.771 | 100 |
| 1 1 2 | 34.33 | 2.612 | 89 |
| 0 0 1 | 10.73 | 8.241 | 79 |
| 1 1 1 | 28.56 | 3.126 | 50 |
| 2 -1 3 | 42.36 | 2.134 | 40 |
| 3 0 0 | 46.58 | 1.950 | 38 |
| 2 -1 4 | 51.99 | 1.759 | 26 |
| 4 -1 1 | 57.94 | 1.592 | 19 |

***

Computed X-ray powder pattern of Cs2Cu2PbBr7 for copper Kα, from a GGA-PBE-relaxed structure.

Cell: 5.2890 5.2890 27.3094 Å, 90.00 90.00 90.00°
Space group I4/mmm (No. 139)
One atom of each set of equivalent atoms:
Cs: 0.0000 0.0000 0.1780
Cu: 0.0000 0.0000 0.4070
Pb: 0.0000 0.0000 0.0000
Br: 0.0000 0.0000 0.3145
Br: 0.0000 0.0000 0.5000
Br: 0.0000 0.5000 0.0803

Most intense lines, 10° ≤ 2θ ≤ 90°, most intense first:
| index | 2θ (°) | d (Å) | I/Imax |
| --- | --- | --- | --- |
| 1 1 6 | 30.95 | 2.890 | 100 |
| 2 0 0 | 33.90 | 2.644 | 76 |
| 1 1 0 | 23.79 | 3.740 | 37 |
| 3 1 6 | 58.82 | 1.570 | 33 |
| 2 2 0 | 48.70 | 1.870 | 27 |
| 1 0 5 | 23.41 | 3.800 | 27 |
| 2 0 12 | 53.09 | 1.725 | 25 |
| 2 0 10 | 47.88 | 1.900 | 18 |